HfZrCo: theoretical XRD peak list (Cu Ka), based on a DFT-relaxed cell (GGA-PBE, OQMD).

Structure:
Cell lengths 5.522, 6.305, 6.283 Å; angles 90.00, 90.00, 90.00 degrees
Space group Ima2 (No. 46)
Asymmetric unit:
Hf  0.250  0.175  0.000
Zr  0.250  0.672  0.847
Co  0.000  0.000  0.678

The 10 most intense peaks (15 to 90 degrees two-theta), sorted by position:
| 2theta | I_rel | h k l |
| --- | --- | --- |
| 21.4 | 121 | 1 1 0 |
| 32.4 | 176 | 2 0 0 |
| 35.8 | 1000 | 1 1 2 |
| 38.4 | 158 | 2 1 1 |
| 43.6 | 361 | 2 0 2 |
| 45.5 | 126 | 0 3 1 |
| 60.1 | 223 | 3 1 2 |
| 63.1 | 126 | 1 4 1 |
| 63.3 | 123 | 1 1 4 |
| 72.3 | 167 | 2 3 3 |

***

Li2ZnCd2GaPd2: theoretical XRD peak list (Cu Ka), based on a DFT-relaxed cell (GGA-PBE, OQMD).

Structure:
Cell lengths 4.484, 4.484, 6.317 Å; angles 90.00, 90.00, 90.00 degrees
Space group P-4m2 (No. 115)
Asymmetric unit:
Li  0.000  0.500  0.248
Zn  0.500  0.500  0.000
Cd  0.000  0.000  0.000
Cd  0.500  0.500  0.500
Ga  0.000  0.000  0.500
Pd  0.000  0.500  0.744

The 10 most intense peaks (15 to 90 degrees two-theta), sorted by position:
| 2theta | I_rel | h k l |
| --- | --- | --- |
| 24.3 | 352 | 1 0 1 |
| 28.1 | 53 | 1 1 0 |
| 40.3 | 1000 | 2 0 0 |
| 47.6 | 112 | 2 1 1 |
| 47.7 | 55 | 1 0 3 |
| 58.2 | 109 | 2 2 0 |
| 58.4 | 54 | 0 0 4 |
| 73.2 | 215 | 3 1 2 |
| 73.3 | 106 | 2 0 4 |
| 87.1 | 68 | 2 2 4 |

***

GdTeAuO: theoretical XRD peak list (Cu Ka), based on a DFT-relaxed cell (GGA-PBE, OQMD).

Structure:
Cell lengths 5.722, 5.722, 10.152 Å; angles 90.00, 90.00, 90.00 degrees
Space group P4bm (No. 100)
Asymmetric unit:
Gd  0.000  0.000  0.000
Gd  0.000  0.500  0.216
Te  0.000  0.000  0.396
Te  0.000  0.500  0.826
Au  0.183  0.317  0.596
O  0.249  0.251  0.110

The 10 most intense peaks (15 to 90 degrees two-theta), sorted by position:
| 2theta | I_rel | h k l |
| --- | --- | --- |
| 17.5 | 353 | 0 0 2 |
| 28.2 | 1000 | 1 1 2 |
| 32.5 | 740 | 2 0 1 |
| 34.6 | 875 | 1 1 3 |
| 36.0 | 666 | 2 0 2 |
| 36.2 | 462 | 2 1 1 |
| 39.4 | 369 | 2 1 2 |
| 44.8 | 513 | 2 2 0 |
| 53.8 | 431 | 3 1 2 |
| 57.8 | 345 | 3 1 3 |

***

KZrAgTeSeS: theoretical XRD peak list (Cu Ka), based on a DFT-relaxed cell (GGA-PBE, OQMD).

Structure:
Cell lengths 8.463, 4.060, 10.096 Å; angles 90.00, 110.14, 90.00 degrees
Space group P2_1/m (No. 11)
Asymmetric unit:
K  0.223  0.250  0.189
Zr  0.184  0.750  0.669
Ag  0.420  0.250  0.897
Te  0.415  0.250  0.624
Se  0.045  0.750  0.367
S  0.241  0.750  0.932

The 10 most intense peaks (15 to 90 degrees two-theta), sorted by position:
| 2theta | I_rel | h k l |
| --- | --- | --- |
| 27.8 | 356 | 1 1 1 |
| 29.4 | 308 | 2 0 -3 |
| 30.6 | 1000 | 2 1 -1 |
| 31.5 | 967 | 2 1 0 |
| 34.7 | 485 | 1 1 -3 |
| 36.0 | 449 | 0 1 3 |
| 38.0 | 366 | 0 0 4 |
| 43.3 | 709 | 2 1 -4 |
| 44.6 | 509 | 0 2 0 |
| 48.1 | 301 | 2 1 3 |

***

Cs2InHgBr6: theoretical XRD peak list (Cu Ka), based on a DFT-relaxed cell (GGA-PBE, OQMD).

Structure:
Cell lengths 13.892, 8.027, 8.021 Å; angles 90.00, 125.23, 90.00 degrees
Space group C2/m (No. 12)
Asymmetric unit:
Cs  0.250  0.000  0.250
In  0.000  0.000  0.500
Hg  0.000  0.500  0.000
Br  0.001  0.243  0.257
Br  0.243  0.000  0.744

The 10 most intense peaks (15 to 90 degrees two-theta), sorted by position:
| 2theta | I_rel | h k l |
| --- | --- | --- |
| 15.6 | 231 | 2 0 0 |
| 22.2 | 717 | 1 1 1 |
| 27.2 | 329 | 2 2 0 |
| 31.5 | 1000 | 4 0 0 |
| 38.9 | 337 | 2 0 2 |
| 45.2 | 724 | 2 2 2 |
| 56.2 | 251 | 4 4 0 |
| 61.1 | 184 | 2 4 2 |
| 74.8 | 321 | 6 2 2 |
| 83.5 | 244 | 8 4 0 |

***

Er2Fe2B4Ir3: theoretical XRD peak list (Cu Ka), based on a DFT-relaxed cell (GGA-PBE, OQMD).

Structure:
Cell lengths 5.345, 9.522, 11.371 Å; angles 90.00, 90.00, 90.00 degrees
Space group Fmmm (No. 69)
Asymmetric unit:
Er  0.000  0.000  0.138
Fe  0.250  0.250  0.000
B  0.000  0.166  0.376
Ir  0.000  0.000  0.500
Ir  0.250  0.250  0.250

The 10 most intense peaks (15 to 90 degrees two-theta), sorted by position:
| 2theta | I_rel | h k l |
| --- | --- | --- |
| 24.4 | 502 | 0 2 2 |
| 30.4 | 801 | 1 1 3 |
| 36.8 | 417 | 0 2 4 |
| 37.8 | 530 | 0 4 0 |
| 38.6 | 1000 | 2 2 0 |
| 40.7 | 420 | 1 3 3 |
| 46.6 | 245 | 2 0 4 |
| 61.5 | 186 | 2 4 4 |
| 68.8 | 198 | 2 6 0 |
| 78.9 | 219 | 2 2 8 |

***

Tl5Au4: theoretical XRD peak list (Cu Ka), based on a DFT-relaxed cell (GGA-PBE, OQMD).

Structure:
Cell lengths 7.905, 7.905, 14.089 Å; angles 90.00, 90.00, 90.00 degrees
Space group P4_12_12 (No. 92)
Asymmetric unit:
Tl  0.001  0.336  0.029
Tl  0.003  0.144  0.628
Tl  0.174  0.826  0.750
Au  0.039  0.686  0.935
Au  0.145  0.209  0.830

The 10 most intense peaks (15 to 90 degrees two-theta), sorted by position:
| 2theta | I_rel | h k l |
| --- | --- | --- |
| 30.0 | 246 | 1 1 4 |
| 31.7 | 974 | 2 1 3 |
| 32.7 | 937 | 2 2 1 |
| 35.7 | 967 | 1 1 5 |
| 36.4 | 1000 | 3 0 2 |
| 37.4 | 248 | 2 2 3 |
| 38.2 | 222 | 3 1 2 |
| 41.7 | 231 | 1 1 6 |
| 47.8 | 244 | 4 0 2 |
| 66.8 | 182 | 5 2 3 |

***

Hf4O11: theoretical XRD peak list (Cu Ka), based on a DFT-relaxed cell (GGA-PBE, OQMD).

Structure:
Cell lengths 3.426, 6.172, 8.887 Å; angles 99.51, 98.32, 100.49 degrees
Space group P1 (No. 1)
Asymmetric unit:
Hf  0.000  0.000  0.000
Hf  0.080  0.487  0.473
Hf  0.453  0.090  0.670
Hf  0.625  0.859  0.316
O  0.003  0.138  0.787
O  0.069  0.834  0.196
O  0.167  0.833  0.491
O  0.371  0.874  0.851
O  0.394  0.423  0.677
O  0.520  0.527  0.336
O  0.553  0.720  0.937
O  0.572  0.118  0.150
O  0.673  0.598  0.629
O  0.755  0.162  0.478
O  0.799  0.285  0.072

The 10 most intense peaks (15 to 90 degrees two-theta), sorted by position:
| 2theta | I_rel | h k l |
| --- | --- | --- |
| 19.7 | 1000 | 0 1 1 |
| 27.9 | 331 | 0 1 2 |
| 30.5 | 624 | 1 -1 1 |
| 30.9 | 587 | 1 0 -2 |
| 31.8 | 551 | 0 1 -3 |
| 32.8 | 310 | 1 1 -1 |
| 33.0 | 411 | 0 2 -2 |
| 37.6 | 331 | 1 1 1 |
| 49.1 | 266 | 0 3 1 |
| 54.8 | 338 | 1 2 2 |